(1)
Starting from a DFT-relaxed cell (GGA-PBE, Alexandria), the powder X-ray diffraction pattern of Tm12Pt2Pb5 was simulated for Cu Kα (weighted mean of Kα1 and Kα2).
Lines closer than 0.1° are merged.

Structural model:
a = 9.272 Å, b = 9.272 Å, c = 9.527 Å
α = 102.00°, β = 102.00°, γ = 47.72°
Sites, in units of the cell vectors:
Tm1 0.010 0.010 0.263
Tm2 0.090 0.590 0.905
Tm3 0.096 0.616 0.430
Tm4 0.384 0.904 0.570
Tm5 0.410 0.910 0.095
Tm6 0.487 0.487 0.166
Tm7 0.513 0.513 0.834
Tm8 0.590 0.090 0.905
Tm9 0.616 0.096 0.430
Tm10 0.904 0.384 0.570
Tm11 0.910 0.410 0.095
Tm12 0.990 0.990 0.737
Pt1 0.197 0.803 0.000
Pt2 0.803 0.197 0.000
Pb1 0.186 0.186 0.840
Pb2 0.209 0.209 0.362
Pb3 0.500 0.500 0.500
Pb4 0.791 0.791 0.638
Pb5 0.814 0.814 0.160

Most intense lines, 5° ≤ 2θ ≤ 70°, low angle first:
22.13°, rel. 71
30.64°, rel. 93
31.03°, rel. 100
32.24°, rel. 94
32.53°, rel. 93
35.07°, rel. 56
37.83°, rel. 78
41.78°, rel. 58

(2)
Starting from a DFT-relaxed cell (GGA-PBE, Alexandria), the powder X-ray diffraction pattern of Tb3Ho4PuSe8 was simulated for Cu Kα (weighted mean of Kα1 and Kα2).
Lines closer than 0.1° are merged.

Structural model:
a = 8.162 Å, b = 8.162 Å, c = 8.162 Å
α = 59.98°, β = 59.98°, γ = 59.98°
Sites, in units of the cell vectors:
Tb1 0.000 0.500 0.500
Tb2 0.500 0.000 0.500
Tb3 0.500 0.500 0.000
Ho1 0.000 0.000 0.500
Ho2 0.000 0.500 0.000
Ho3 0.500 0.000 0.000
Ho4 0.500 0.500 0.500
Pu1 0.000 0.000 0.000
Se1 0.249 0.249 0.249
Se2 0.250 0.748 0.748
Se3 0.252 0.252 0.750
Se4 0.252 0.750 0.252
Se5 0.748 0.250 0.748
Se6 0.748 0.748 0.250
Se7 0.750 0.252 0.252
Se8 0.751 0.751 0.751

Most intense lines, 5° ≤ 2θ ≤ 70°, low angle first:
13.29°, rel. 1
25.60°, rel. 1
26.76°, rel. 25
30.99°, rel. 100
44.40°, rel. 74
52.60°, rel. 12
55.13°, rel. 26
64.60°, rel. 12

(3)
Starting from a DFT-relaxed cell (GGA-PBE, Alexandria), the powder X-ray diffraction pattern of Dy2Al2GeRh5 was simulated for Cu Kα (weighted mean of Kα1 and Kα2).
Lines closer than 0.1° are merged.

Structural model:
a = 9.839 Å, b = 9.839 Å, c = 3.443 Å
α = 90.00°, β = 90.00°, γ = 90.00°
Sites, in units of the cell vectors:
Dy1 0.174 0.326 0.000
Dy2 0.326 0.826 0.000
Dy3 0.674 0.174 0.000
Dy4 0.826 0.674 0.000
Al1 0.124 0.624 0.000
Al2 0.376 0.124 0.000
Al3 0.624 0.876 0.000
Al4 0.876 0.376 0.000
Ge1 0.000 0.000 0.000
Ge2 0.500 0.500 0.000
Rh1 0.000 0.500 0.500
Rh2 0.066 0.798 0.500
Rh3 0.202 0.066 0.500
Rh4 0.298 0.566 0.500
Rh5 0.434 0.298 0.500
Rh6 0.500 0.000 0.500
Rh7 0.566 0.702 0.500
Rh8 0.702 0.434 0.500
Rh9 0.798 0.934 0.500
Rh10 0.934 0.202 0.500

Most intense lines, 5° ≤ 2θ ≤ 70°, low angle first:
33.03°, rel. 58
36.72°, rel. 24
37.70°, rel. 71
38.83°, rel. 24
39.02°, rel. 100
42.26°, rel. 27
53.20°, rel. 20
67.03°, rel. 26

(4)
Starting from a DFT-relaxed cell (GGA-PBE, Alexandria), the powder X-ray diffraction pattern of TcAs7 was simulated for Cu Kα (weighted mean of Kα1 and Kα2).
Lines closer than 0.1° are merged.

Structural model:
a = 5.900 Å, b = 5.900 Å, c = 5.900 Å
α = 60.00°, β = 60.00°, γ = 60.00°
Sites, in units of the cell vectors:
Tc1 0.000 0.000 0.000
As1 0.000 0.000 0.500
As2 0.000 0.500 0.000
As3 0.000 0.500 0.500
As4 0.500 0.000 0.000
As5 0.500 0.000 0.500
As6 0.500 0.500 0.000
As7 0.500 0.500 0.500

Most intense lines, 5° ≤ 2θ ≤ 70°, low angle first:
18.42°, rel. 1
37.33°, rel. 100
43.38°, rel. 49
63.02°, rel. 32

(5)
Starting from a DFT-relaxed cell (GGA-PBE, Alexandria), the powder X-ray diffraction pattern of ScOsW2 was simulated for Cu Kα (weighted mean of Kα1 and Kα2).
Lines closer than 0.1° are merged.

Structural model:
a = 5.297 Å, b = 5.297 Å, c = 5.297 Å
α = 145.25°, β = 128.58°, γ = 63.56°
Sites, in units of the cell vectors:
Sc1 0.000 0.000 0.000
Os1 0.256 0.756 0.500
W1 0.498 0.498 0.000
W2 0.736 0.236 0.500

Most intense lines, 5° ≤ 2θ ≤ 70°, low angle first:
19.72°, rel. 6
21.71°, rel. 14
34.41°, rel. 3
39.20°, rel. 21
39.98°, rel. 100
41.46°, rel. 4
57.29°, rel. 14
58.34°, rel. 10

(6)
Starting from a DFT-relaxed cell (GGA-PBE, Alexandria), the powder X-ray diffraction pattern of Y6Pb8OF32 was simulated for Cu Kα (weighted mean of Kα1 and Kα2).
Lines closer than 0.1° are merged.

Structural model:
a = 9.293 Å, b = 9.293 Å, c = 9.293 Å
α = 73.29°, β = 73.29°, γ = 73.29°
Sites, in units of the cell vectors:
Y1 0.161 0.473 0.607
Y2 0.393 0.839 0.527
Y3 0.473 0.607 0.161
Y4 0.527 0.393 0.839
Y5 0.607 0.161 0.473
Y6 0.839 0.527 0.393
Pb1 0.036 0.907 0.291
Pb2 0.093 0.709 0.964
Pb3 0.267 0.267 0.267
Pb4 0.291 0.036 0.907
Pb5 0.709 0.964 0.093
Pb6 0.733 0.733 0.733
Pb7 0.907 0.291 0.036
Pb8 0.964 0.093 0.709
O1 0.000 0.000 0.000
F1 0.024 0.452 0.186
F2 0.043 0.355 0.495
F3 0.089 0.257 0.786
F4 0.142 0.142 0.142
F5 0.186 0.024 0.452
F6 0.214 0.911 0.743
F7 0.217 0.696 0.586
F8 0.257 0.786 0.089
F9 0.267 0.543 0.350
F10 0.304 0.414 0.783
F11 0.350 0.267 0.543
F12 0.355 0.495 0.043
F13 0.414 0.783 0.304
F14 0.452 0.186 0.024
F15 0.457 0.650 0.733
F16 0.495 0.043 0.355
F17 0.505 0.957 0.645
F18 0.543 0.350 0.267
F19 0.548 0.814 0.976
F20 0.586 0.217 0.696
F21 0.645 0.505 0.957
F22 0.650 0.733 0.457
F23 0.696 0.586 0.217
F24 0.733 0.457 0.650
F25 0.743 0.214 0.911
F26 0.783 0.304 0.414
F27 0.786 0.089 0.257
F28 0.814 0.976 0.548
F29 0.858 0.858 0.858
F30 0.911 0.743 0.214
F31 0.957 0.645 0.505
F32 0.976 0.548 0.814

Most intense lines, 5° ≤ 2θ ≤ 70°, low angle first:
10.20°, rel. 20
26.08°, rel. 100
26.48°, rel. 31
30.32°, rel. 48
43.15°, rel. 34
43.66°, rel. 31
51.11°, rel. 15
51.34°, rel. 29

(7)
Starting from a DFT-relaxed cell (GGA-PBE, Alexandria), the powder X-ray diffraction pattern of Tm3Tl3CrTe8 was simulated for Cu Kα (weighted mean of Kα1 and Kα2).
Lines closer than 0.1° are merged.

Structural model:
a = 8.570 Å, b = 8.570 Å, c = 9.615 Å
α = 116.53°, β = 116.53°, γ = 59.91°
Sites, in units of the cell vectors:
Tm1 0.000 0.000 0.000
Tm2 0.000 0.500 0.000
Tm3 0.500 0.000 0.000
Tl1 0.000 0.500 0.500
Tl2 0.500 0.000 0.500
Tl3 0.500 0.500 0.500
Cr1 0.500 0.500 0.000
Te1 0.238 0.238 0.214
Te2 0.257 0.721 0.199
Te3 0.279 0.279 0.801
Te4 0.279 0.743 0.801
Te5 0.721 0.257 0.199
Te6 0.721 0.721 0.199
Te7 0.743 0.279 0.801
Te8 0.762 0.762 0.786

Most intense lines, 5° ≤ 2θ ≤ 70°, low angle first:
13.92°, rel. 11
28.06°, rel. 100
37.90°, rel. 36
42.20°, rel. 35
51.44°, rel. 18
58.00°, rel. 10
62.57°, rel. 12
68.62°, rel. 10

(8)
Starting from a DFT-relaxed cell (GGA-PBE, Alexandria), the powder X-ray diffraction pattern of NdDy5Tl3 was simulated for Cu Kα (weighted mean of Kα1 and Kα2).
Lines closer than 0.1° are merged.

Structural model:
a = 9.418 Å, b = 9.418 Å, c = 6.749 Å
α = 90.00°, β = 90.00°, γ = 120.00°
Sites, in units of the cell vectors:
Nd1 0.000 0.000 0.000
Nd2 0.000 0.000 0.500
Dy1 0.000 0.330 0.250
Dy2 0.000 0.670 0.750
Dy3 0.330 0.000 0.250
Dy4 0.330 0.330 0.750
Dy5 0.333 0.667 0.000
Dy6 0.333 0.667 0.500
Dy7 0.667 0.333 0.000
Dy8 0.667 0.333 0.500
Dy9 0.670 0.000 0.750
Dy10 0.670 0.670 0.250
Tl1 0.000 0.340 0.750
Tl2 0.000 0.660 0.250
Tl3 0.340 0.000 0.750
Tl4 0.340 0.340 0.250
Tl5 0.660 0.000 0.250
Tl6 0.660 0.660 0.750

Most intense lines, 5° ≤ 2θ ≤ 70°, low angle first:
32.65°, rel. 87
32.94°, rel. 100
42.71°, rel. 16
47.06°, rel. 32
58.64°, rel. 33
58.83°, rel. 19
65.06°, rel. 29
69.10°, rel. 12

(9)
Starting from a DFT-relaxed cell (GGA-PBE, Alexandria), the powder X-ray diffraction pattern of LaPm5Ho2 was simulated for Cu Kα (weighted mean of Kα1 and Kα2).
Lines closer than 0.1° are merged.

Structural model:
a = 12.168 Å, b = 12.168 Å, c = 17.741 Å
α = 124.01°, β = 124.01°, γ = 30.80°
Sites, in units of the cell vectors:
La1 0.034 0.732 0.885
La2 0.268 0.966 0.615
La3 0.732 0.034 0.385
La4 0.966 0.268 0.115
Pm1 0.030 0.929 0.140
Pm2 0.071 0.970 0.360
Pm3 0.142 0.188 0.836
Pm4 0.160 0.432 0.281
Pm5 0.188 0.142 0.336
Pm6 0.266 0.426 0.033
Pm7 0.275 0.619 0.483
Pm8 0.381 0.725 0.017
Pm9 0.426 0.266 0.533
Pm10 0.432 0.160 0.781
Pm11 0.568 0.840 0.219
Pm12 0.574 0.734 0.467
Pm13 0.619 0.275 0.983
Pm14 0.725 0.381 0.517
Pm15 0.734 0.574 0.967
Pm16 0.812 0.858 0.664
Pm17 0.840 0.568 0.719
Pm18 0.858 0.812 0.164
Pm19 0.929 0.030 0.640
Pm20 0.970 0.071 0.860
Ho1 0.133 0.313 0.561
Ho2 0.313 0.133 0.061
Ho3 0.396 0.473 0.771
Ho4 0.473 0.396 0.271
Ho5 0.527 0.604 0.729
Ho6 0.604 0.527 0.229
Ho7 0.687 0.867 0.939
Ho8 0.867 0.687 0.439

Most intense lines, 5° ≤ 2θ ≤ 70°, low angle first:
29.50°, rel. 15
30.63°, rel. 10
30.76°, rel. 66
30.97°, rel. 100
31.59°, rel. 14
31.96°, rel. 14
32.57°, rel. 29
55.21°, rel. 11

(10)
Starting from a DFT-relaxed cell (GGA-PBE, Alexandria), the powder X-ray diffraction pattern of PuInSnI6 was simulated for Cu Kα (weighted mean of Kα1 and Kα2).
Lines closer than 0.1° are merged.

Structural model:
a = 8.043 Å, b = 8.043 Å, c = 15.162 Å
α = 90.00°, β = 90.00°, γ = 120.00°
Sites, in units of the cell vectors:
Pu1 0.333 0.667 0.250
Pu2 0.667 0.333 0.750
In1 0.000 0.000 0.000
In2 0.000 0.000 0.500
Sn1 0.333 0.667 0.750
Sn2 0.667 0.333 0.250
I1 0.009 0.363 0.131
I2 0.009 0.645 0.369
I3 0.355 0.363 0.369
I4 0.355 0.991 0.131
I5 0.363 0.009 0.631
I6 0.363 0.355 0.869
I7 0.637 0.645 0.131
I8 0.637 0.991 0.369
I9 0.645 0.009 0.869
I10 0.645 0.637 0.631
I11 0.991 0.355 0.631
I12 0.991 0.637 0.869

Most intense lines, 5° ≤ 2θ ≤ 70°, low angle first:
17.29°, rel. 48
25.07°, rel. 100
32.46°, rel. 81
36.12°, rel. 20
38.78°, rel. 48
42.24°, rel. 27
51.44°, rel. 20
63.35°, rel. 22

(11)
Starting from a DFT-relaxed cell (GGA-PBE, Alexandria), the powder X-ray diffraction pattern of NaErAgSe2 was simulated for Cu Kα (weighted mean of Kα1 and Kα2).
Lines closer than 0.1° are merged.

Structural model:
a = 7.105 Å, b = 4.965 Å, c = 7.746 Å
α = 90.00°, β = 98.85°, γ = 90.00°
Sites, in units of the cell vectors:
Na1 0.000 0.125 0.250
Na2 0.000 0.875 0.750
Er1 0.500 0.495 0.750
Er2 0.500 0.505 0.250
Ag1 0.500 0.000 0.000
Ag2 0.500 0.000 0.500
Se1 0.227 0.366 0.963
Se2 0.227 0.634 0.463
Se3 0.773 0.366 0.537
Se4 0.773 0.634 0.037

Most intense lines, 5° ≤ 2θ ≤ 70°, low angle first:
12.61°, rel. 100
17.87°, rel. 18
30.67°, rel. 32
33.60°, rel. 47
36.74°, rel. 39
38.47°, rel. 33
41.68°, rel. 23
60.98°, rel. 15